Diffraction record for La2GaSiGe. The powder diffractogram is theoretical, not measured: it uses a DFT-relaxed cell (PBE, Alexandria) and Cu Kα (weighted mean of Kα1 and Kα2).
Lines closer than 0.1° are merged.

Principal peaks in the range 10 to 90 degrees two-theta, sorted by position:
d = 3.656 Å, intensity 27
d = 2.803 Å, intensity 51
d = 2.738 Å, intensity 100
d = 2.170 Å, intensity 39
d = 1.672 Å, intensity 22
d = 1.497 Å, intensity 23

Crystal structure
a = 4.165 Å, b = 8.265 Å, c = 7.629 Å
α = 90.00°, β = 90.00°, γ = 90.00°
Space group Pmmn (No. 59, origin choice 2)
Asymmetric unit:
La1 0.250 0.009 0.244 x4
Ga1 0.250 0.250 0.591 x2
Si1 0.250 0.750 0.578 x2
Ge1 0.250 0.250 0.916 x2

Diffraction record for K4RbTl5. The powder diffractogram is theoretical, not measured: it uses a DFT-relaxed cell (PBE, Alexandria) and Cu Kα (weighted mean of Kα1 and Kα2).
Lines closer than 0.1° are merged.

Principal peaks in the range 10 to 90 degrees two-theta, sorted by position:
d = 8.450 Å, intensity 29
d = 5.198 Å, intensity 40
d = 4.225 Å, intensity 53
d = 2.901 Å, intensity 100
d = 2.860 Å, intensity 39
d = 2.835 Å, intensity 44

Crystal structure
a = 11.500 Å, b = 12.459 Å, c = 5.720 Å
α = 90.00°, β = 90.00°, γ = 90.00°
Space group Pmmn (No. 59, origin choice 2)
Asymmetric unit:
K1 0.003 0.250 0.249 x4
K2 0.250 0.552 0.751 x4
Rb1 0.250 0.250 0.747 x2
Tl1 0.050 0.554 0.250 x8
Tl2 0.250 0.750 0.251 x2

Diffraction record for HoErScAg. The powder diffractogram is theoretical, not measured: it uses a DFT-relaxed cell (PBE, Alexandria) and Cu Kα (weighted mean of Kα1 and Kα2).
Lines closer than 0.1° are merged.

Principal peaks in the range 10 to 90 degrees two-theta, sorted by position:
d = 8.472 Å, intensity 20
d = 2.693 Å, intensity 100
d = 2.467 Å, intensity 41
d = 1.745 Å, intensity 14
d = 1.607 Å, intensity 18
d = 1.464 Å, intensity 30

Crystal structure
a = 3.489 Å, b = 3.489 Å, c = 8.472 Å
α = 90.00°, β = 90.00°, γ = 90.00°
Space group P4mm (No. 99)
Asymmetric unit:
Ho1 0.000 0.000 0.000 x1
Er1 0.000 0.000 0.544 x1
Sc1 0.500 0.500 0.273 x1
Ag1 0.500 0.500 0.769 x1